(1)
Diffraction record for Si4Mo3P2. The PXRD pattern is simulated, not measured: it uses a cell relaxed with GGA-PBE and Cu Kα, 1.54184 Å.

Structure:
```
Si4Mo3P2
1.0
6.598 0.000 0.000
0.000 6.946 0.000
-0.895 0.000 5.972
Si Mo P
8 6 4
Direct
0.014 0.148 0.126
0.014 0.352 0.626
0.362 0.017 0.614
0.362 0.483 0.114
0.638 0.517 0.886
0.638 0.983 0.386
0.986 0.648 0.374
0.986 0.852 0.874
0.000 0.000 0.500
0.000 0.500 0.000
0.292 0.657 0.710
0.292 0.843 0.210
0.708 0.157 0.790
0.708 0.343 0.290
0.434 0.146 0.062
0.434 0.354 0.562
0.566 0.646 0.438
0.566 0.854 0.938
```

The 12 most intense peaks (10 to 80 degrees two-theta), in order of rising 2θ:
18.66 deg, d = 4.756 Å, intensity 100.0, hkl 1 1 0
25.17 deg, d = 3.539 Å, intensity 79.6, hkl 1 1 1
31.04 deg, d = 2.882 Å, intensity 55.4, hkl 1 0 -2
37.25 deg, d = 2.414 Å, intensity 35.1, hkl 1 1 2
39.24 deg, d = 2.296 Å, intensity 38.2, hkl 2 2 -1
39.96 deg, d = 2.256 Å, intensity 46.0, hkl 2 1 -2
41.52 deg, d = 2.175 Å, intensity 39.1, hkl 3 0 0
41.85 deg, d = 2.159 Å, intensity 56.1, hkl 0 3 1
42.41 deg, d = 2.131 Å, intensity 29.6, hkl 2 2 1
43.44 deg, d = 2.083 Å, intensity 47.9, hkl 1 3 -1
44.06 deg, d = 2.055 Å, intensity 69.9, hkl 2 0 2
47.56 deg, d = 1.912 Å, intensity 38.7, hkl 1 1 -3

=====

(2)
Diffraction record for SrMo6P8. The PXRD pattern is simulated, not measured: it uses a cell relaxed with GGA-PBE and Cu Kα, 1.54184 Å.

Structure:
```
SrMo6P8
1.0
6.190 0.000 0.000
-0.662 6.503 0.000
-0.983 -0.236 6.625
Sr Mo P
1 6 8
Direct
0.000 0.000 0.000
0.157 0.559 0.370
0.377 0.418 0.749
0.444 0.212 0.394
0.556 0.788 0.606
0.623 0.582 0.251
0.843 0.441 0.630
0.093 0.186 0.514
0.190 0.728 0.719
0.280 0.392 0.088
0.386 0.857 0.262
0.614 0.143 0.738
0.720 0.608 0.912
0.810 0.272 0.281
0.907 0.814 0.486
```

The 12 most intense peaks (10 to 80 degrees two-theta), in order of rising 2θ:
13.36 deg, d = 6.625 Å, intensity 100.0, hkl 0 0 1
13.62 deg, d = 6.499 Å, intensity 83.0, hkl 0 1 0
30.20 deg, d = 2.959 Å, intensity 42.5, hkl 0 2 -1
32.63 deg, d = 2.745 Å, intensity 48.0, hkl 1 0 2
33.80 deg, d = 2.652 Å, intensity 48.6, hkl 2 1 0
35.55 deg, d = 2.525 Å, intensity 41.8, hkl 2 -1 1
38.81 deg, d = 2.321 Å, intensity 52.0, hkl -2 1 2
41.38 deg, d = 2.182 Å, intensity 36.4, hkl 1 0 -3
43.25 deg, d = 2.092 Å, intensity 46.0, hkl 2 2 -1
43.77 deg, d = 2.068 Å, intensity 37.5, hkl 1 1 -3
44.46 deg, d = 2.038 Å, intensity 56.2, hkl 0 3 1
45.28 deg, d = 2.003 Å, intensity 45.2, hkl 1 -3 1